Record 1
The following is a theoretical powder diffractogram of La2GeAs4Pd3. It was derived from a DFT-relaxed cell (GGA-PBE, Alexandria), using copper Kα.
Kinematic intensities with the Lorentz-polarization factor, no thermal factor.

```
10
Lattice="4.6364 0.0000 0.0000 0.0000 4.6364 0.0000 0.0000 0.0000 9.6189" Properties=species:S:1:pos:R:3 pbc="T T T"
La 0.0000 2.3182 2.3478
La 2.3182 0.0000 7.2711
Ge 0.0000 0.0000 4.8095
As 0.0000 0.0000 0.0000
As 0.0000 2.3182 6.0423
As 2.3182 0.0000 3.5766
As 2.3182 2.3182 0.0000
Pd 0.0000 2.3182 8.5197
Pd 2.3182 0.0000 1.0992
Pd 2.3182 2.3182 4.8095
```

Peak list (6 most intense, 2θ = 15–90°, most intense first)
d 2.709, rel. 100, (1 1 2)
d 2.318, rel. 90, (2 0 0)
d 2.637, rel. 83, (1 0 3)
d 1.741, rel. 47, (2 1 3)
d 1.639, rel. 30, (2 2 0)
d 1.402, rel. 26, (3 1 2)

Record 2
The following is a theoretical powder diffractogram of La2GeAsPd6. It was derived from a DFT-relaxed cell (GGA-PBE, Alexandria), using copper Kα.
Kinematic intensities with the Lorentz-polarization factor, no thermal factor.

```
10
Lattice="5.4941 0.0000 0.0000 2.7330 6.0847 0.0000 2.7405 -0.2879 6.1064" Properties=species:S:1:pos:R:3 pbc="T T T"
La 1.3620 1.3200 1.3567
La 9.6056 4.4769 4.7497
Ge 4.1173 -0.1439 3.0532
As 4.1136 3.0424 0.0000
Pd 2.7341 1.1912 4.6506
Pd 4.1057 2.3279 2.4649
Pd 5.4794 4.6063 1.4539
Pd 5.4882 1.1905 4.6525
Pd 6.8620 3.4690 3.6415
Pd 8.2335 4.6057 1.4558
```

Peak list (6 most intense, 2θ = 15–90°, most intense first)
d 2.332, rel. 100, (2 2 0)
d 2.301, rel. 98, (2 2 2)
d 2.206, rel. 91, (0 2 -2)
d 3.187, rel. 55, (1 1 -1)
d 2.171, rel. 52, (1 -2 0)
d 2.179, rel. 51, (1 0 -2)

Record 3
The following is a theoretical powder diffractogram of La2GeAsPt6. It was derived from a DFT-relaxed cell (GGA-PBE, Alexandria), using copper Kα.
Kinematic intensities with the Lorentz-polarization factor, no thermal factor.

```
20
Lattice="5.5921 0.0000 0.0000 0.0000 8.5493 0.0000 0.0000 0.0000 8.6766" Properties=species:S:1:pos:R:3 pbc="T T T"
La 1.3980 0.0080 2.0046
La 1.3980 4.2666 2.0046
La 4.1941 4.2826 6.6720
La 4.1941 8.5413 6.6720
Ge 1.3980 6.4119 6.6328
Ge 4.1941 2.1373 2.0438
As 1.3980 2.1373 6.6565
As 4.1941 6.4119 2.0201
Pt 0.0068 2.1373 4.2437
Pt 0.0049 6.4119 8.6634
Pt 1.3980 0.0336 5.3270
Pt 1.3980 4.2411 5.3270
Pt 2.7893 2.1373 4.2437
Pt 2.7911 6.4119 8.6634
Pt 2.8010 2.1373 0.0132
Pt 2.8029 6.4119 4.4329
Pt 4.1941 4.3082 3.3496
Pt 4.1941 8.5157 3.3496
Pt 5.5872 2.1373 0.0132
Pt 5.5853 6.4119 4.4329
```

Peak list (6 most intense, 2θ = 15–90°, most intense first)
d 2.340, rel. 100, (2 2 0)
d 3.045, rel. 86, (0 2 2)
d 2.350, rel. 79, (2 0 2)
d 2.137, rel. 59, (0 4 0)
d 2.202, rel. 54, (1 2 3)
d 1.581, rel. 47, (2 4 2)